No. 1
Diffraction record for Fe2MoRh5. The X-ray powder pattern is calculated, not measured: it uses the GGA-PBE geometry in Alexandria and Cu Kα.
Lines closer than 0.1° are merged.

Structural model:
Unit cell a=7.9230 b=7.9230 c=7.9230 alpha=151.77 beta=151.77 gamma=40.36
Positions (direct):
Fe  0.2487  0.2487  0.0000
Fe  0.7513  0.7513  0.0000
Mo  0.5000  0.5000  0.0000
Rh  0.0000  0.0000  0.0000
Rh  0.1275  0.6275  0.5000
Rh  0.3725  0.8725  0.5000
Rh  0.6275  0.1275  0.5000
Rh  0.8725  0.3725  0.5000

Main lines, sorted by position (15 to 90 degrees two-theta):
2θ = 23.93°, rel. 2; 2θ = 34.98°, rel. 3; 2θ = 40.98°, rel. 100; 2θ = 47.02°, rel. 33; 2θ = 49.00°, rel. 15; 2θ = 68.69°, rel. 10; 2θ = 70.26°, rel. 19; 2θ = 83.21°, rel. 24; 2θ = 86.15°, rel. 11; 2θ = 88.88°, rel. 10

---

No. 2
Diffraction record for CeCd2Ga. The X-ray powder pattern is calculated, not measured: it uses the GGA-PBE geometry in Alexandria and Cu Kα.
Lines closer than 0.1° are merged.

Structural model:
Unit cell a=4.6554 b=6.1691 c=6.5920 alpha=90.00 beta=90.00 gamma=90.00
Positions (direct):
Ce  0.2500  0.2500  0.0879
Ce  0.7500  0.7500  0.9121
Cd  0.2500  0.5065  0.6392
Cd  0.2500  0.9935  0.6392
Cd  0.7500  0.0065  0.3608
Cd  0.7500  0.4935  0.3608
Ga  0.2500  0.7500  0.2330
Ga  0.7500  0.2500  0.7670

Main lines, sorted by position (15 to 90 degrees two-theta):
2θ = 27.55°, rel. 30; 2θ = 32.04°, rel. 56; 2θ = 33.31°, rel. 90; 2θ = 36.44°, rel. 19; 2θ = 37.55°, rel. 100; 2θ = 38.68°, rel. 43; 2θ = 43.73°, rel. 14; 2θ = 51.06°, rel. 40; 2θ = 69.26°, rel. 16; 2θ = 70.37°, rel. 19

---

No. 3
Diffraction record for NaThPa4N8. The X-ray powder pattern is calculated, not measured: it uses the GGA-PBE geometry in Alexandria and Cu Kα.
Lines closer than 0.1° are merged.

Structural model:
Unit cell a=7.0977 b=7.0977 c=7.0977 alpha=59.60 beta=59.60 gamma=59.60
Positions (direct):
Na  0.0000  0.0000  0.0000
Th  0.6219  0.6219  0.6219
Pa  0.1123  0.6229  0.6229
Pa  0.2426  0.2426  0.2426
Pa  0.6229  0.1123  0.6229
Pa  0.6229  0.6229  0.1123
N  0.3714  0.3714  0.8488
N  0.3714  0.8488  0.3714
N  0.3788  0.3788  0.3788
N  0.4426  0.8551  0.8551
N  0.8456  0.8456  0.8456
N  0.8488  0.3714  0.3714
N  0.8551  0.4426  0.8551
N  0.8551  0.8551  0.4426

Main lines, sorted by position (15 to 90 degrees two-theta):
2θ = 15.37°, rel. 37; 2θ = 17.73°, rel. 17; 2θ = 29.49°, rel. 35; 2θ = 29.65°, rel. 100; 2θ = 30.76°, rel. 16; 2θ = 31.02°, rel. 51; 2θ = 35.90°, rel. 28; 2θ = 47.25°, rel. 42; 2θ = 51.50°, rel. 28; 2θ = 51.84°, rel. 27

---

No. 4
Diffraction record for UCuAg2S4. The X-ray powder pattern is calculated, not measured: it uses the GGA-PBE geometry in Alexandria and Cu Kα.
Lines closer than 0.1° are merged.

Structural model:
Unit cell a=5.9719 b=5.9719 c=5.9719 alpha=113.23 beta=113.23 gamma=102.19
Positions (direct):
U  0.0000  0.0000  0.0000
Cu  0.2500  0.7500  0.5000
Ag  0.5000  0.5000  0.0000
Ag  0.7500  0.2500  0.5000
S  0.1233  0.6149  0.0291
S  0.3851  0.4142  0.5084
S  0.5858  0.0941  0.9709
S  0.9059  0.8767  0.4916

Main lines, sorted by position (15 to 90 degrees two-theta):
2θ = 17.94°, rel. 16; 2θ = 19.10°, rel. 13; 2θ = 27.14°, rel. 35; 2θ = 30.63°, rel. 100; 2θ = 38.75°, rel. 38; 2θ = 50.18°, rel. 49; 2θ = 55.97°, rel. 12; 2θ = 56.50°, rel. 24; 2θ = 78.46°, rel. 13; 2θ = 83.59°, rel. 15